[1]
Starting from a structure optimized by DFT (GGA-PBE), the XRD peak list of Ac2LaPdO5 was calculated for Cu Ka.
No peak broadening, texture or thermal motion is included.

Peak list (10 most intense, 15° ≤ 2θ ≤ 90°, low angle first)
- d 3.121, I = 30
- d 3.024, I = 100
- d 2.774, I = 64
- d 2.467, I = 14
- d 2.207, I = 13
- d 2.173, I = 41
- d 1.747, I = 14
- d 1.694, I = 18
- d 1.676, I = 14
- d 1.630, I = 12

Cell and atoms:
abc: 6.978 6.978 6.053
angles: 90.00 90.00 90.00
Fractional positions:
Ac1 0.164 0.336 0.000
Ac2 0.336 0.836 0.000
Ac3 0.664 0.164 0.000
Ac4 0.836 0.664 0.000
La1 0.000 0.000 0.500
La2 0.500 0.500 0.500
Pd1 0.000 0.500 0.500
Pd2 0.500 0.000 0.500
O1 0.000 0.000 0.000
O2 0.166 0.666 0.269
O3 0.166 0.666 0.731
O4 0.334 0.166 0.269
O5 0.334 0.166 0.731
O6 0.500 0.500 0.000
O7 0.666 0.834 0.269
O8 0.666 0.834 0.731
O9 0.834 0.334 0.269
O10 0.834 0.334 0.731

=====

[2]
Starting from a structure optimized by DFT (GGA-PBE), the XRD peak list of Nd5Os2Cl2 was calculated for Cu Ka.
No peak broadening, texture or thermal motion is included.

Peak list (10 most intense, 15° ≤ 2θ ≤ 90°, low angle first)
- d 2.947, I = 80
- d 2.782, I = 23
- d 2.632, I = 100
- d 2.525, I = 68
- d 2.513, I = 64
- d 2.337, I = 67
- d 1.919, I = 20
- d 1.889, I = 21
- d 1.394, I = 26
- d 1.350, I = 22

Cell and atoms:
abc: 8.677 8.677 8.050
angles: 90.00 90.00 55.63
Fractional positions:
Nd1 0.000 0.000 0.000
Nd2 0.041 0.727 0.651
Nd3 0.227 0.541 0.151
Nd4 0.273 0.959 0.651
Nd5 0.459 0.773 0.151
Nd6 0.500 0.500 0.500
Nd7 0.541 0.227 0.849
Nd8 0.727 0.041 0.349
Nd9 0.773 0.459 0.849
Nd10 0.959 0.273 0.349
Os1 0.139 0.861 0.360
Os2 0.361 0.639 0.860
Os3 0.639 0.361 0.140
Os4 0.861 0.139 0.640
Cl1 0.207 0.207 0.000
Cl2 0.293 0.293 0.500
Cl3 0.707 0.707 0.500
Cl4 0.793 0.793 0.000

=====

[3]
Starting from a structure optimized by DFT (GGA-PBE), the XRD peak list of NiP2SeN was calculated for Cu Ka.
No peak broadening, texture or thermal motion is included.

Peak list (10 most intense, 15° ≤ 2θ ≤ 90°, low angle first)
- d 3.683, I = 31
- d 3.636, I = 66
- d 3.172, I = 55
- d 2.916, I = 98
- d 2.599, I = 30
- d 2.402, I = 100
- d 2.056, I = 58
- d 1.879, I = 48
- d 1.829, I = 32
- d 1.766, I = 54

Cell and atoms:
abc: 4.145 4.145 7.392
angles: 99.73 99.73 38.92
Fractional positions:
Ni1 0.000 0.000 0.000
P1 0.449 0.449 0.774
P2 0.618 0.618 0.553
Se1 0.744 0.744 0.156
N1 0.251 0.251 0.627

=====

[4]
Starting from a structure optimized by DFT (GGA-PBE), the XRD peak list of CuAs2Pb2 was calculated for Cu Ka.
No peak broadening, texture or thermal motion is included.

Peak list (10 most intense, 15° ≤ 2θ ≤ 90°, low angle first)
- d 3.600, I = 79
- d 3.022, I = 38
- d 2.597, I = 24
- d 2.581, I = 100
- d 2.497, I = 62
- d 2.254, I = 42
- d 2.117, I = 25
- d 1.837, I = 34
- d 1.496, I = 38
- d 1.487, I = 29

Cell and atoms:
abc: 9.431 9.431 9.431
angles: 157.54 157.54 31.97
Fractional positions:
Cu1 0.000 0.000 0.000
As1 0.250 0.750 0.500
As2 0.750 0.250 0.500
Pb1 0.407 0.407 0.000
Pb2 0.593 0.593 0.000

=====

Which formula does entry 4 have?
CuAs2Pb2